Diffraction record for RhF5. The X-ray powder pattern is calculated, not measured: it uses a DFT-relaxed cell (PBE, the Materials Project) and Cu Kα.
No peak broadening, texture or thermal motion is included.

The 10 most intense peaks (5° ≤ 2θ ≤ 70°), in order of rising 2θ:
Position (°2θ)	intensity
15.87	18
18.34	31
19.23	76
20.61	41
22.65	100
23.70	43
29.36	24
51.71	19
52.74	18
53.28	18

Cell and atoms:
Cell: 5.6926 10.1419 12.6404 Å, 90.00 101.10 90.00°
Fractional positions:
Rh  0.0048  0.2492  0.4962
Rh  0.0048  0.2508  0.9962
Rh  0.3002  0.0012  0.1995
Rh  0.3002  0.4988  0.6995
Rh  0.6998  0.5012  0.3005
Rh  0.6998  0.9988  0.8005
Rh  0.9952  0.7492  0.0038
Rh  0.9952  0.7508  0.5038
F  0.0235  0.5633  0.7390
F  0.0235  0.9367  0.2390
F  0.0928  0.6698  0.1384
F  0.0928  0.8302  0.6384
F  0.1101  0.1655  0.1441
F  0.1101  0.3345  0.6441
F  0.1853  0.1007  0.5465
F  0.1853  0.3993  0.0465
F  0.1917  0.5867  0.5530
F  0.1917  0.9133  0.0530
F  0.2606  0.6863  0.9538
F  0.2606  0.8137  0.4538
F  0.2650  0.1699  0.9534
F  0.2650  0.3301  0.4534
F  0.3967  0.0867  0.3316
F  0.3967  0.4133  0.8316
F  0.4434  0.5695  0.3548
F  0.4434  0.9305  0.8548
F  0.4749  0.6484  0.7523
F  0.4749  0.8516  0.2523
F  0.5251  0.1484  0.7477
F  0.5251  0.3516  0.2477
F  0.5566  0.0695  0.1452
F  0.5566  0.4305  0.6452
F  0.6033  0.5867  0.1684
F  0.6033  0.9133  0.6684
F  0.7350  0.6699  0.5466
F  0.7350  0.8301  0.0466
F  0.7394  0.1863  0.5462
F  0.7394  0.3137  0.0462
F  0.8083  0.0867  0.9470
F  0.8083  0.4133  0.4470
F  0.8147  0.6007  0.9535
F  0.8147  0.8993  0.4535
F  0.8899  0.6655  0.3559
F  0.8899  0.8345  0.8559
F  0.9072  0.1698  0.3616
F  0.9072  0.3302  0.8616
F  0.9765  0.0633  0.7610
F  0.9765  0.4367  0.2610

***

Diffraction record for RuF3. The X-ray powder pattern is calculated, not measured: it uses a DFT-relaxed cell (PBE, the Materials Project) and Cu Kα.
No peak broadening, texture or thermal motion is included.

The 10 most intense peaks (5° ≤ 2θ ≤ 70°), in order of rising 2θ:
Position (°2θ)	intensity
23.90	100
32.76	37
35.31	17
40.44	10
43.09	16
48.93	15
53.41	31
56.85	24
61.77	13
63.37	12

Cell and atoms:
Cell: 5.4984 5.4984 5.4984 Å, 55.07 55.07 55.07°
Fractional positions:
Ru  0.0000  0.0000  0.0000
Ru  0.5000  0.5000  0.5000
F  0.1026  0.7500  0.3974
F  0.2500  0.6026  0.8974
F  0.3974  0.1026  0.7500
F  0.6026  0.8974  0.2500
F  0.7500  0.3974  0.1026
F  0.8974  0.2500  0.6026